Diffraction record for ErGeH2O4. The powder X-ray diffraction pattern is computed, not measured: it uses the PBE geometry in OQMD and Cu Kα.
Neutral-atom scattering factors, no anomalous dispersion.

```
data_ErGeH2O4
_cell_length_a 9.968
_cell_length_b 10.035
_cell_length_c 6.842
_cell_angle_alpha 90.00
_cell_angle_beta 90.00
_cell_angle_gamma 90.00
_symmetry_space_group_name_H-M 'F d d 2'
_symmetry_Int_Tables_number 43
_symmetry_space_group_name_Hall 'F 2 -2d'
loop_
_atom_site_label
_atom_site_fract_x
_atom_site_fract_y
_atom_site_fract_z
Er1 0.000 0.000 0.000
Ge1 0.000 0.000 0.537
H1 0.042 0.243 0.618
O1 0.062 0.377 0.219
O2 0.115 0.308 0.580
```

Principal peaks in the range 10 to 90 degrees two-theta, low angle first:
Position (°2θ)	d_spacing	I (rel.)	index
18.04	4.918	35	1 1 1
25.18	3.536	100	2 2 0
31.69	2.824	96	2 0 2
35.79	2.509	17	0 4 0
48.57	1.875	40	2 4 2
48.71	1.869	38	4 2 2